LiThNiH6: calculated powder diffractogram (Cu Ka), based on a cell relaxed with PBE.

Most intense lines, 15° ≤ 2θ ≤ 90°, by angle:
| hkl | two_theta | intensity |
| --- | --- | --- |
| 1 0 0 | 23.3 | 54.2 |
| 1 0 1 | 31.3 | 100.0 |
| 1 1 0 | 40.9 | 29.6 |
| 2 0 1 | 52.4 | 24.0 |
| 1 1 2 | 59.9 | 19.9 |
| 2 1 1 | 68.5 | 21.4 |

Structure:
Unit cell a=4.4094 b=4.4094 c=4.3235 alpha=90.00 beta=90.00 gamma=120.00
Fractional coordinates of all 9 atoms:
Li1 0.0000 0.0000 0.0000
Th1 0.6667 0.3333 0.5000
Ni1 0.3333 0.6667 0.0000
H1 0.1765 0.3530 0.2670
H2 0.1765 0.3530 0.7330
H3 0.1765 0.8235 0.2670
H4 0.1765 0.8235 0.7330
H5 0.6470 0.8235 0.2670
H6 0.6470 0.8235 0.7330